1.
# CdGe2PbO6
Calculated powder X-ray diffraction pattern, Cu Ka. Input: a crystal structure in Alexandria, relaxed with GGA-PBE.
Lines closer than 0.1° are merged.

Structure:
abc: 7.501 7.501 5.419
angles: 96.93 96.93 89.93
Fractional positions:
Cd  0.199  0.801  0.750
Cd  0.801  0.199  0.250
Ge  0.119  0.291  0.764
Ge  0.291  0.119  0.264
Ge  0.709  0.881  0.736
Ge  0.881  0.709  0.236
Pb  0.392  0.608  0.250
Pb  0.608  0.392  0.750
O  0.097  0.673  0.378
O  0.104  0.208  0.067
O  0.208  0.104  0.567
O  0.264  0.478  0.814
O  0.327  0.903  0.122
O  0.478  0.264  0.314
O  0.522  0.736  0.686
O  0.673  0.097  0.878
O  0.736  0.522  0.186
O  0.792  0.896  0.433
O  0.896  0.792  0.933
O  0.903  0.327  0.622

The 8 most intense peaks (10 to 90 degrees two-theta), by angle:
11.9°, I = 28
17.0°, I = 34
26.9°, I = 41
27.5°, I = 100
30.7°, I = 50
30.9°, I = 74
33.6°, I = 46
34.3°, I = 21

2.
# CdGe2PtO
Calculated powder X-ray diffraction pattern, Cu Ka. Input: a crystal structure in Alexandria, relaxed with GGA-PBE.
Lines closer than 0.1° are merged.

Structure:
abc: 5.498 3.033 5.949
angles: 90.00 114.46 90.00
Fractional positions:
Cd  0.000  0.000  0.000
Ge  0.475  0.000  0.731
Ge  0.633  0.500  0.311
Pt  0.127  0.500  0.440
O  0.458  0.000  0.065

The 8 most intense peaks (10 to 90 degrees two-theta), by angle:
17.7°, I = 33
18.5°, I = 44
30.3°, I = 52
32.6°, I = 37
33.9°, I = 100
41.7°, I = 30
47.1°, I = 35
55.4°, I = 31

3.
# CdGe2PtO
Calculated powder X-ray diffraction pattern, Cu Ka. Input: a crystal structure in Alexandria, relaxed with GGA-PBE.
Lines closer than 0.1° are merged.

Structure:
abc: 3.565 8.496 8.496
angles: 20.24 90.00 90.00
Fractional positions:
Cd  0.000  0.000  0.000
Ge  0.500  0.373  0.373
Ge  0.500  0.688  0.688
Pt  0.000  0.791  0.791
O  0.500  0.118  0.118

The 8 most intense peaks (10 to 90 degrees two-theta), by angle:
10.6°, I = 97
30.4°, I = 38
33.0°, I = 100
34.1°, I = 40
39.7°, I = 71
40.5°, I = 30
41.1°, I = 36
48.2°, I = 52

4.
# CdGe2PtO
Calculated powder X-ray diffraction pattern, Cu Ka. Input: a crystal structure in Alexandria, relaxed with GGA-PBE.
Lines closer than 0.1° are merged.

Structure:
abc: 4.764 2.998 6.444
angles: 90.00 105.62 90.00
Fractional positions:
Cd  0.000  0.000  0.000
Ge  0.375  0.000  0.626
Ge  0.669  0.500  0.365
Pt  0.484  0.500  0.963
O  0.966  0.000  0.455

The 8 most intense peaks (10 to 90 degrees two-theta), by angle:
14.3°, I = 100
28.8°, I = 54
35.8°, I = 67
36.6°, I = 69
38.0°, I = 49
40.7°, I = 39
42.9°, I = 56
50.0°, I = 36

5.
# Cd2GeTeO6
Calculated powder X-ray diffraction pattern, Cu Ka. Input: a crystal structure in Alexandria, relaxed with GGA-PBE.
Lines closer than 0.1° are merged.

Structure:
abc: 5.511 5.511 4.836
angles: 90.00 90.00 90.00
Fractional positions:
Cd  0.000  0.500  0.000
Cd  0.500  0.000  0.000
Ge  0.000  0.000  0.599
Te  0.500  0.500  0.610
O  0.000  0.000  0.235
O  0.233  0.233  0.726
O  0.233  0.767  0.726
O  0.500  0.500  0.214
O  0.767  0.233  0.726
O  0.767  0.767  0.726

The 8 most intense peaks (10 to 90 degrees two-theta), by angle:
18.3°, I = 16
29.4°, I = 100
32.5°, I = 39
44.1°, I = 18
46.6°, I = 24
50.2°, I = 18
56.1°, I = 31
66.1°, I = 10

6.
# CdGe2TeO8
Calculated powder X-ray diffraction pattern, Cu Ka. Input: a crystal structure in Alexandria, relaxed with GGA-PBE.
Lines closer than 0.1° are merged.

Structure:
abc: 5.782 5.782 5.782
angles: 107.32 107.32 113.86
Fractional positions:
Cd  0.000  0.000  0.000
Ge  0.500  0.500  0.000
Ge  0.750  0.250  0.500
Te  0.250  0.750  0.500
O  0.319  0.119  0.800
O  0.319  0.519  0.200
O  0.367  0.043  0.323
O  0.481  0.681  0.800
O  0.720  0.043  0.677
O  0.881  0.681  0.200
O  0.957  0.280  0.323
O  0.957  0.633  0.677

The 8 most intense peaks (10 to 90 degrees two-theta), by angle:
26.0°, I = 100
33.9°, I = 73
37.1°, I = 20
51.1°, I = 61
53.5°, I = 16
60.4°, I = 13
64.9°, I = 18
65.1°, I = 13